Simulated XRD peak list
Compound: HfFe2CoO6
Radiation: Cu Kα (weighted mean of Kα1 and Kα2)
Structure: a DFT-relaxed cell (PBE+U, Alexandria)
Peak positions follow from Bragg's law for the DFT cell and can differ from measured ones.

Cell: 5.1649 5.1649 13.9986 Å, 90.00 90.00 120.00°
Space group R3 (No. 146, hexagonal axes)
One atom of each set of equivalent atoms:
Hf1 0.0000 0.0000 0.0000 x3
Fe1 0.0000 0.0000 0.2987 x3
Fe2 0.0000 0.0000 0.7937 x3
Co1 0.0000 0.0000 0.5071 x3
O1 0.0175 0.6406 0.5621 x9
O2 0.0182 0.3111 0.3915 x9

The 10 most intense peaks (5° ≤ 2θ ≤ 70°), by intensity:
32.48 deg, I 100.0
34.74 deg, I 90.1
23.61 deg, I 59.3
52.89 deg, I 53.6
20.85 deg, I 41.4
48.29 deg, I 38.6
60.85 deg, I 35.2
62.27 deg, I 32.1
39.90 deg, I 25.6
19.02 deg, I 20.1